Li2VFeP4O14: simulated powder diffractogram (CuKα), based on the PBE+U geometry in the Materials Project.
Kinematic intensities with the Lorentz-polarization factor, no thermal factor.

Structure:
```
data_Li2VFeP4O14
_cell_length_a 7.038
_cell_length_b 9.587
_cell_length_c 9.587
_cell_angle_alpha 118.77
_cell_angle_beta 99.48
_cell_angle_gamma 99.47
_symmetry_space_group_name_H-M 'P 1'
_symmetry_Int_Tables_number 1
loop_
_symmetry_equiv_pos_as_xyz
'x,y,z'
loop_
_atom_site_label
_atom_site_fract_x
_atom_site_fract_y
_atom_site_fract_z
Li1 0.000 0.000 0.000
Li2 0.000 0.500 0.500
Li3 0.647 0.074 0.574
Li4 0.647 0.574 0.074
V1 0.052 0.202 0.838
V2 0.595 0.236 0.372
Fe1 0.055 0.702 0.338
Fe2 0.591 0.736 0.872
P1 0.238 0.096 0.516
P2 0.238 0.596 0.016
P3 0.409 0.057 0.978
P4 0.409 0.558 0.478
P5 0.802 0.304 0.121
P6 0.802 0.803 0.621
P7 0.844 0.454 0.771
P8 0.845 0.953 0.270
O1 0.077 0.065 0.354
O2 0.077 0.565 0.854
O3 0.175 0.207 0.667
O4 0.177 0.708 0.168
O5 0.207 0.563 0.393
O6 0.208 0.061 0.894
O7 0.239 0.927 0.498
O8 0.242 0.429 0.999
O9 0.406 0.075 0.146
O10 0.406 0.576 0.646
O11 0.439 0.180 0.513
O12 0.439 0.681 0.011
O13 0.470 0.407 0.366
O14 0.471 0.905 0.867
O15 0.570 0.220 0.009
O16 0.570 0.720 0.509
O17 0.718 0.055 0.371
O18 0.718 0.556 0.871
O19 0.806 0.419 0.593
O20 0.806 0.918 0.093
O21 0.815 0.797 0.780
O22 0.818 0.299 0.279
O23 0.829 0.295 0.776
O24 0.831 0.795 0.277
O25 0.841 0.481 0.155
O26 0.841 0.981 0.656
O27 0.929 0.203 0.018
O28 0.929 0.703 0.519
```

Main lines, in order of falling intensity (2θ from 15° to 90°):
| two_theta | d/Å | I_rel | index |
| --- | --- | --- | --- |
| 17.11 | 5.182 | 100 | 1 1 -1 |
| 29.23 | 3.055 | 57 | 1 1 -3 |
| 22.33 | 3.982 | 45 | 1 0 -2 |
| 28.93 | 3.086 | 29 | 1 2 0 |
| 29.59 | 3.019 | 28 | 2 0 -2 |
| 26.80 | 3.326 | 24 | 1 1 1 |
| 22.05 | 4.031 | 22 | 0 2 0 |
| 25.40 | 3.507 | 17 | 1 2 -2 |